Calculated X-ray diffraction stick pattern
Compound: K3As
Radiation: CuKα
Structure: a crystal structure in the Materials Project, relaxed with GGA-PBE
Kinematic intensities with the Lorentz-polarization factor, no thermal factor.

Most intense lines, 2θ from 5° to 70°, in order of rising 2θ:
hkl  2θ (°)  I/Imax
0 0 2  17.08  186
1 1 0  30.50  1000
1 0 3  31.28  881
2 0 3  44.25  316
2 1 3  54.69  324
1 1 6  62.30  218

Crystal structure
```
data_K3As
_chemical_formula_sum 'K6 As2'
_cell_length_a 5.863
_cell_length_b 5.863
_cell_length_c 10.384
_cell_angle_alpha 90.00
_cell_angle_beta 90.00
_cell_angle_gamma 120.00
_symmetry_space_group_name_H-M 'P 1'
_symmetry_Int_Tables_number 1
loop_
_symmetry_equiv_pos_as_xyz
'x,y,z'
loop_
_atom_site_label
_atom_site_type_symbol
_atom_site_fract_x
_atom_site_fract_y
_atom_site_fract_z
K1 K 0.000 0.000 0.250
K2 K 0.000 0.000 0.750
K3 K 0.333 0.667 0.079
K4 K 0.333 0.667 0.421
K5 K 0.667 0.333 0.579
K6 K 0.667 0.333 0.921
As1 As 0.333 0.667 0.750
As2 As 0.667 0.333 0.250
```